Theoretical powder XRD pattern
Compound: Li3Cr2Fe3O10
Radiation: λ = 1.5418 Å (Cu Kα)
Structure: DFT lattice parameters and positions (GGA+U)
Neutral-atom scattering factors, no anomalous dispersion.

Main lines, in order of falling intensity (5 to 70 degrees two-theta):
d (Å)  I (rel.)
4.850  100
7.203  69
2.196  58
2.066  52
2.054  49
4.894  39

Structural model:
```
18
Lattice="5.122 0.000 0.000 1.069 5.054 0.000 2.308 1.853 7.203" Properties=species:S:1:pos:R:3 pbc="T T T"
Li 0.000 0.000 0.000
Li 3.502 3.807 0.708
Li 4.997 3.100 6.495
Cr 0.953 2.333 1.358
Cr 7.546 4.574 5.845
Fe 1.725 2.064 4.348
Fe 4.249 3.453 3.602
Fe 6.774 4.843 2.855
O 1.438 0.537 1.200
O 3.996 4.897 7.050
O 3.268 5.185 4.063
O 2.514 2.970 2.574
O 3.290 2.881 5.285
O 5.209 4.026 1.918
O 5.985 3.937 4.629
O 5.231 1.722 3.140
O 4.503 2.010 0.153
O 7.061 6.370 6.003
```

Theoretical powder XRD pattern
Compound: Li3CrFe3O8
Radiation: λ = 1.5418 Å (Cu Kα)
Structure: DFT lattice parameters and positions (GGA+U)
Neutral-atom scattering factors, no anomalous dispersion.

Main lines, in order of falling intensity (5 to 70 degrees two-theta):
d (Å)  I (rel.)
4.880  100
2.084  43
2.499  24
2.091  22
2.507  12
1.483  11

Structural model:
```
30
Lattice="5.166 0.000 0.000 2.500 7.327 0.000 0.811 0.895 7.677" Properties=species:S:1:pos:R:3 pbc="T T T"
Li 0.000 0.000 0.000
Li 1.655 4.111 3.839
Li 0.787 1.346 4.783
Li 1.673 3.544 6.781
Li 6.803 4.679 0.896
Li 7.689 6.876 2.894
Cr 5.022 7.049 1.432
Cr 3.454 1.173 6.245
Fe 5.030 5.872 7.201
Fe 4.213 3.831 5.293
Fe 3.399 1.756 3.297
Fe 5.078 6.467 4.380
Fe 4.263 4.391 2.384
Fe 3.447 2.350 0.476
O 1.796 0.528 3.167
O 3.472 5.765 1.209
O 2.701 2.686 5.050
O 4.358 7.325 6.034
O 3.507 5.146 4.012
O 1.895 1.150 0.181
O 2.763 3.282 2.123
O 3.531 4.594 6.966
O 4.945 3.629 0.711
O 5.713 4.940 5.555
O 6.581 7.073 7.496
O 4.969 3.076 3.665
O 4.118 0.898 1.643
O 5.775 5.537 2.627
O 5.004 2.457 6.468
O 6.680 7.695 4.510
```

Theoretical powder XRD pattern
Compound: Li5Cr3FeO8
Radiation: λ = 1.5418 Å (Cu Kα)
Structure: DFT lattice parameters and positions (GGA+U)
Neutral-atom scattering factors, no anomalous dispersion.

Main lines, in order of falling intensity (5 to 70 degrees two-theta):
d (Å)  I (rel.)
2.135  100
4.912  84
4.990  31
2.572  29
1.501  29
1.519  26

Structural model:
```
17
Lattice="3.002 1.733 4.990 -3.002 1.733 4.990 0.000 -3.467 4.990" Properties=species:S:1:pos:R:3 pbc="T T T"
Li -3.002 0.000 7.485
Li -1.501 0.867 2.495
Li 0.000 0.000 0.990
Li 1.501 0.867 2.495
Li 0.000 0.000 13.979
Cr -1.501 -0.867 4.990
Cr -1.501 0.867 9.980
Cr 0.000 1.733 4.990
Fe 0.000 0.000 7.485
O 0.000 -1.652 6.148
O -1.430 0.826 6.148
O 0.000 0.000 3.864
O -1.430 -0.826 8.821
O 1.430 0.826 6.148
O 0.000 0.000 11.106
O 1.430 -0.826 8.821
O 0.000 1.652 8.821
```